Calculated X-ray powder pattern
Compound: BaTa3Fe
Radiation: Cu Kα (λ = 1.5418 Å)
Structure: a PBE-relaxed structure
Lines closer than 0.1° are merged.

Atomic structure:
abc: 4.8061 4.8061 4.8061
angles: 90.00 90.00 90.00
Space group Pm-3m (No. 221)
Asymmetric unit:
Ba  0.0000  0.0000  0.0000 (multiplicity 1)
Ta  0.0000  0.5000  0.5000 (multiplicity 3)
Fe  0.5000  0.5000  0.5000 (multiplicity 1)

The 12 most intense peaks (2θ = 15–90°), in order of rising 2θ:
18.5°, I = 9
32.3°, I = 100
37.4°, I = 72
42.0°, I = 4
54.0°, I = 50
57.5°, I = 2
64.3°, I = 43
67.5°, I = 17
70.7°, I = 1
79.8°, I = 8
82.8°, I = 1
88.7°, I = 19